This entry pairs a crystal structure of Ga6AgSb7Te8Cl24 with its computed powder diffractogram. Radiation: copper Kα. Structure: a GGA-PBE-relaxed structure.

The 12 most intense peaks (10 to 80 degrees two-theta), sorted by position:
| index | 2θ (°) | I (rel.) |
| --- | --- | --- |
| 1 1 -1 | 11.4 | 54 |
| 1 -1 1 | 12.8 | 31 |
| 0 1 -2 | 15.0 | 31 |
| 0 1 -3 | 23.0 | 43 |
| 1 -3 0 | 23.2 | 62 |
| 0 3 0 | 25.1 | 32 |
| 1 1 -4 | 28.8 | 31 |
| 0 4 -1 | 30.2 | 100 |
| -4 1 2 | 30.3 | 55 |
| -4 2 1 | 31.2 | 27 |
| 0 1 -4 | 31.5 | 36 |
| 0 5 -4 | 39.5 | 27 |

Crystal structure
Lattice parameters (Å, degrees): 11.976 12.453 12.698 112.30 111.57 100.80
Element x y z (fractional)
Ga: 0.000 0.000 0.000
Ga: 0.051 0.078 0.598
Ga: 0.110 0.494 0.174
Ga: 0.161 0.572 0.775
Ga: 0.460 0.952 0.628
Ga: 0.702 0.622 0.147
Ag: 0.101 0.761 0.414
Sb: 0.374 0.985 0.024
Sb: 0.435 0.325 0.643
Sb: 0.435 0.556 0.480
Sb: 0.580 0.286 0.387
Sb: 0.726 0.246 0.132
Sb: 0.728 0.015 0.296
Sb: 0.787 0.588 0.751
Te: 0.323 0.290 0.380
Te: 0.473 0.001 0.276
Te: 0.479 0.252 0.112
Te: 0.544 0.596 0.749
Te: 0.617 0.976 0.026
Te: 0.682 0.320 0.663
Te: 0.688 0.571 0.499
Te: 0.837 0.282 0.395
Cl: 0.023 0.883 0.568
Cl: 0.036 0.462 0.818
Cl: 0.048 0.080 0.424
Cl: 0.059 0.679 0.702
Cl: 0.102 0.893 0.073
Cl: 0.113 0.495 0.351
Cl: 0.125 0.109 0.957
Cl: 0.137 0.690 0.214
Cl: 0.202 0.449 0.626
Cl: 0.231 0.216 0.773
Cl: 0.289 0.466 0.178
Cl: 0.328 0.009 0.503
Cl: 0.347 0.820 0.662
Cl: 0.352 0.701 0.951
Cl: 0.558 0.860 0.528
Cl: 0.566 0.445 0.963
Cl: 0.596 0.127 0.812
Cl: 0.604 0.712 0.247
Cl: 0.809 0.871 0.824
Cl: 0.811 0.751 0.109
Cl: 0.832 0.562 0.272
Cl: 0.872 0.105 0.597
Cl: 0.930 0.355 0.001
Cl: 0.959 0.123 0.148